[1]
# Y6O5F8
Computed X-ray powder pattern, copper Kα. Input: a cell relaxed with PBE.

Structure:
abc: 5.5176 5.5447 8.7552
angles: 74.33 87.96 89.33
Sites, in units of the cell vectors:
Y (0.0000, 0.0000, 0.0000)
Y (0.0044, 0.6841, 0.6644)
Y (0.0123, 0.3365, 0.3154)
Y (0.4090, 0.1797, 0.6505)
Y (0.4364, 0.8036, 0.3385)
Y (0.4438, 0.5450, 0.9639)
O (0.1933, 0.5063, 0.4937)
O (0.1997, 0.0176, 0.4810)
O (0.2005, 0.3410, 0.8326)
O (0.2023, 0.6648, 0.1536)
O (0.2257, 0.8516, 0.8189)
F (0.3028, 0.1690, 0.1525)
F (0.6501, 0.8755, 0.5502)
F (0.6641, 0.4241, 0.4274)
F (0.6636, 0.7492, 0.1185)
F (0.6811, 0.4147, 0.7529)
F (0.7344, 0.8933, 0.8262)
F (0.8096, 0.3512, 0.0492)
F (0.8451, 0.9842, 0.2771)

The 12 most intense peaks (10 to 80 degrees two-theta), in order of falling intensity:
d = 3.283 Å, I = 100
d = 3.238 Å, I = 94
d = 3.206 Å, I = 89
d = 3.110 Å, I = 85
d = 1.925 Å, I = 41
d = 2.808 Å, I = 39
d = 2.769 Å, I = 34
d = 2.022 Å, I = 33
d = 1.941 Å, I = 32
d = 1.935 Å, I = 32
d = 1.696 Å, I = 31
d = 2.001 Å, I = 30

=====

[2]
# Y7O6F9
Computed X-ray powder pattern, copper Kα. Input: a cell relaxed with PBE.

Structure:
abc: 19.7095 19.7095 5.4960
angles: 90.06 90.06 16.35
Sites, in units of the cell vectors:
Y (0.0356, 0.0356, 0.2064)
Y (0.0712, 0.1419, 0.7994)
Y (0.1981, 0.3008, 0.7768)
Y (0.2010, 0.1524, 0.2090)
Y (0.3220, 0.3250, 0.2112)
Y (0.3635, 0.4241, 0.7972)
Y (0.4629, 0.4660, 0.2068)
Y (0.5340, 0.5371, 0.7932)
Y (0.5759, 0.6365, 0.2028)
Y (0.6750, 0.6780, 0.7888)
Y (0.6992, 0.8019, 0.2232)
Y (0.8476, 0.7990, 0.7910)
Y (0.8581, 0.9288, 0.2006)
Y (0.9644, 0.9644, 0.7936)
O (0.0115, 0.5562, 0.0362)
O (0.1029, 0.6105, 0.0270)
O (0.1498, 0.7063, 0.0189)
O (0.2629, 0.7371, 0.0000)
O (0.2937, 0.8502, 0.9811)
O (0.3895, 0.8971, 0.9730)
O (0.4438, 0.9885, 0.9638)
O (0.6009, 0.1086, 0.9706)
O (0.6502, 0.2056, 0.9819)
O (0.7625, 0.2375, 0.0000)
O (0.7944, 0.3498, 0.0181)
O (0.8914, 0.3991, 0.0294)
F (0.9996, 0.7376, 0.5490)
F (0.0623, 0.3266, 0.5914)
F (0.1531, 0.8469, 0.5000)
F (0.1849, 0.4280, 0.5906)
F (0.2624, 0.0004, 0.4510)
F (0.2701, 0.6002, 0.5339)
F (0.3301, 0.1720, 0.3920)
F (0.3998, 0.7299, 0.4661)
F (0.4936, 0.2458, 0.4432)
F (0.5132, 0.0581, 0.9521)
F (0.5720, 0.8151, 0.4094)
F (0.6531, 0.3469, 0.5000)
F (0.6734, 0.9377, 0.4086)
F (0.7542, 0.5064, 0.5568)
F (0.7696, 0.0997, 0.4690)
F (0.8280, 0.6699, 0.6080)
F (0.9003, 0.2304, 0.5310)
F (0.9419, 0.4868, 0.0479)

The 12 most intense peaks (10 to 80 degrees two-theta), in order of falling intensity:
d = 3.209 Å, I = 100
d = 1.976 Å, I = 20
d = 1.957 Å, I = 18
d = 1.679 Å, I = 16
d = 1.962 Å, I = 15
d = 2.256 Å, I = 14
d = 1.686 Å, I = 14
d = 2.802 Å, I = 11
d = 2.787 Å, I = 11
d = 1.662 Å, I = 10
d = 1.604 Å, I = 6
d = 5.496 Å, I = 6

=====

[3]
# Zn2O2F5
Computed X-ray powder pattern, copper Kα. Input: a cell relaxed with PBE.

Structure:
abc: 6.7866 6.7866 4.1164
angles: 90.00 90.00 144.62
Sites, in units of the cell vectors:
Zn (0.1537, 0.8463, 0.0000)
Zn (0.8463, 0.1537, 0.0000)
O (0.4542, 0.5458, 0.5000)
O (0.5458, 0.4542, 0.5000)
F (0.0000, 0.0000, 0.0000)
F (0.1417, 0.8583, 0.5000)
F (0.3140, 0.6860, 0.0000)
F (0.6860, 0.3140, 0.0000)
F (0.8583, 0.1417, 0.5000)

The 12 most intense peaks (10 to 80 degrees two-theta), in order of falling intensity:
d = 2.060 Å, I = 100
d = 2.980 Å, I = 79
d = 4.116 Å, I = 75
d = 2.842 Å, I = 62
d = 3.929 Å, I = 49
d = 3.472 Å, I = 39
d = 3.233 Å, I = 31
d = 1.489 Å, I = 31
d = 1.686 Å, I = 30
d = 2.155 Å, I = 29
d = 1.694 Å, I = 28
d = 1.457 Å, I = 27

=====

[4]
# ZnO2F
Computed X-ray powder pattern, copper Kα. Input: a cell relaxed with PBE.

Structure:
abc: 3.3206 20.1743 4.0581
angles: 90.00 90.00 90.00
Sites, in units of the cell vectors:
Zn (0.0000, 0.1148, 0.2500)
Zn (0.0000, 0.8852, 0.7500)
Zn (0.5000, 0.3852, 0.7500)
Zn (0.5000, 0.6148, 0.2500)
O (0.0000, 0.1869, 0.5865)
O (0.0000, 0.1869, 0.9135)
O (0.0000, 0.8131, 0.0865)
O (0.0000, 0.8131, 0.4135)
O (0.5000, 0.3131, 0.0865)
O (0.5000, 0.3131, 0.4135)
O (0.5000, 0.6869, 0.5865)
O (0.5000, 0.6869, 0.9135)
F (0.0000, 0.4359, 0.7500)
F (0.0000, 0.5641, 0.2500)
F (0.5000, 0.0641, 0.2500)
F (0.5000, 0.9359, 0.7500)

The 12 most intense peaks (10 to 80 degrees two-theta), in order of falling intensity:
d = 3.765 Å, I = 100
d = 5.044 Å, I = 95
d = 2.977 Å, I = 65
d = 1.918 Å, I = 44
d = 3.162 Å, I = 39
d = 3.276 Å, I = 31
d = 2.589 Å, I = 30
d = 2.401 Å, I = 25
d = 1.493 Å, I = 16
d = 2.168 Å, I = 15
d = 1.591 Å, I = 14
d = 1.370 Å, I = 14

=====

[5]
# ZrO2F5
Computed X-ray powder pattern, copper Kα. Input: a cell relaxed with PBE.

Structure:
abc: 5.8627 7.3181 5.8664
angles: 90.00 107.91 90.00
Sites, in units of the cell vectors:
Zr (0.1918, 0.0000, 0.3081)
Zr (0.8082, 0.0000, 0.6919)
O (0.0632, 0.5000, 0.4384)
O (0.5000, 0.4190, 0.0000)
O (0.5000, 0.5810, 0.0000)
O (0.9368, 0.5000, 0.5616)
F (0.0000, 0.1601, 0.5000)
F (0.0000, 0.8399, 0.5000)
F (0.1684, 0.0000, 0.9330)
F (0.2518, 0.2728, 0.2481)
F (0.2518, 0.7272, 0.2481)
F (0.4329, 0.0000, 0.6683)
F (0.5671, 0.0000, 0.3317)
F (0.7482, 0.2728, 0.7519)
F (0.7482, 0.7272, 0.7519)
F (0.8316, 0.0000, 0.0670)

The 12 most intense peaks (10 to 80 degrees two-theta), in order of falling intensity:
d = 7.318 Å, I = 100
d = 3.451 Å, I = 37
d = 3.979 Å, I = 31
d = 3.659 Å, I = 23
d = 5.580 Å, I = 18
d = 2.607 Å, I = 16
d = 2.260 Å, I = 15
d = 1.860 Å, I = 14
d = 4.437 Å, I = 14
d = 1.774 Å, I = 13
d = 4.742 Å, I = 13
d = 1.836 Å, I = 12

=====

[6]
# ZrOF4
Computed X-ray powder pattern, copper Kα. Input: a cell relaxed with PBE.

Structure:
abc: 8.1456 8.1456 8.1456
angles: 117.41 117.41 94.55
Sites, in units of the cell vectors:
Zr (0.3750, 0.0244, 0.1494)
Zr (0.7744, 0.6250, 0.6494)
Zr (0.8750, 0.2256, 0.8506)
Zr (0.9756, 0.1250, 0.3506)
O (0.1503, 0.1503, 0.0000)
O (0.5997, 0.0997, 0.5000)
O (0.8497, 0.8497, 0.0000)
O (0.9003, 0.4003, 0.5000)
F (0.0874, 0.7862, 0.8714)
F (0.1378, 0.4504, 0.1055)
F (0.2004, 0.3878, 0.6055)
F (0.2138, 0.0852, 0.3012)
F (0.3449, 0.0323, 0.8945)
F (0.4051, 0.7996, 0.1874)
F (0.5362, 0.3374, 0.3714)
F (0.5496, 0.6551, 0.6874)
F (0.6122, 0.2177, 0.8126)
F (0.6626, 0.0340, 0.1988)
F (0.7823, 0.5949, 0.3945)
F (0.7840, 0.9126, 0.6988)
F (0.8352, 0.4638, 0.8012)
F (0.9148, 0.2160, 0.1286)
F (0.9660, 0.1648, 0.6286)
F (0.9677, 0.8622, 0.3126)

The 12 most intense peaks (10 to 80 degrees two-theta), in order of falling intensity:
d = 6.719 Å, I = 100
d = 3.581 Å, I = 56
d = 1.922 Å, I = 38
d = 4.060 Å, I = 36
d = 3.360 Å, I = 22
d = 1.978 Å, I = 21
d = 2.640 Å, I = 14
d = 3.378 Å, I = 13
d = 1.892 Å, I = 12
d = 1.876 Å, I = 10
d = 1.793 Å, I = 10
d = 4.231 Å, I = 8

=====

[7]
# POs4F2
Computed X-ray powder pattern, copper Kα. Input: a cell relaxed with PBE.

Structure:
abc: 4.4680 4.4680 10.9580
angles: 90.00 90.00 90.00
Sites, in units of the cell vectors:
P (0.0000, 0.0000, 0.0000)
P (0.5000, 0.5000, 0.5000)
Os (0.0000, 0.0000, 0.1985)
Os (0.0000, 0.0000, 0.8015)
Os (0.0000, 0.5000, 0.0000)
Os (0.0000, 0.5000, 0.5000)
Os (0.5000, 0.0000, 0.0000)
Os (0.5000, 0.0000, 0.5000)
Os (0.5000, 0.5000, 0.3015)
Os (0.5000, 0.5000, 0.6985)
F (0.0000, 0.0000, 0.3840)
F (0.0000, 0.0000, 0.6160)
F (0.5000, 0.5000, 0.1160)
F (0.5000, 0.5000, 0.8840)

The 12 most intense peaks (10 to 80 degrees two-theta), in order of falling intensity:
d = 2.737 Å, I = 100
d = 2.234 Å, I = 41
d = 1.368 Å, I = 28
d = 1.967 Å, I = 19
d = 1.580 Å, I = 16
d = 1.477 Å, I = 16
d = 2.828 Å, I = 15
d = 1.731 Å, I = 13
d = 1.256 Å, I = 11
d = 4.137 Å, I = 9
d = 2.070 Å, I = 9
d = 1.414 Å, I = 8

=====

[8]
# PuOsF
Computed X-ray powder pattern, copper Kα. Input: a cell relaxed with PBE.

Structure:
abc: 3.1284 3.1284 9.9026
angles: 90.00 90.00 90.00
Sites, in units of the cell vectors:
Pu (0.2500, 0.2500, 0.2100)
Pu (0.7500, 0.7500, 0.7900)
Os (0.2500, 0.2500, 0.5708)
Os (0.7500, 0.7500, 0.4292)
F (0.2500, 0.2500, 0.9207)
F (0.7500, 0.7500, 0.0793)

The 12 most intense peaks (10 to 80 degrees two-theta), in order of falling intensity:
d = 2.271 Å, I = 100
d = 2.212 Å, I = 65
d = 2.645 Å, I = 64
d = 1.288 Å, I = 33
d = 2.983 Å, I = 28
d = 1.564 Å, I = 22
d = 3.301 Å, I = 20
d = 1.476 Å, I = 20
d = 1.460 Å, I = 19
d = 1.346 Å, I = 17
d = 1.838 Å, I = 16
d = 1.981 Å, I = 13

=====

[9]
# Sn2OsSF
Computed X-ray powder pattern, copper Kα. Input: a cell relaxed with PBE.

Structure:
abc: 5.1958 5.1958 3.5860
angles: 90.00 90.00 90.00
Sites, in units of the cell vectors:
Sn (0.0000, 0.5000, 0.0000)
Sn (0.5000, 0.0000, 0.0000)
Os (0.0000, 0.0000, 0.5000)
S (0.5000, 0.5000, 0.0000)
F (0.5000, 0.5000, 0.5000)

The 12 most intense peaks (10 to 80 degrees two-theta), in order of falling intensity:
d = 2.566 Å, I = 100
d = 2.598 Å, I = 69
d = 1.494 Å, I = 39
d = 2.951 Å, I = 33
d = 5.196 Å, I = 27
d = 1.837 Å, I = 25
d = 1.476 Å, I = 24
d = 1.950 Å, I = 21
d = 1.283 Å, I = 16
d = 1.793 Å, I = 12
d = 1.299 Å, I = 8
d = 2.324 Å, I = 8

=====

[10]
# ZrTlOsF2
Computed X-ray powder pattern, copper Kα. Input: a cell relaxed with PBE.

Structure:
abc: 4.0717 4.0717 6.2173
angles: 90.00 90.00 90.00
Sites, in units of the cell vectors:
Zr (0.0000, 0.0000, 0.0000)
Tl (0.0000, 0.0000, 0.5000)
Os (0.5000, 0.5000, 0.5000)
F (0.0000, 0.5000, 0.0000)
F (0.5000, 0.0000, 0.0000)

The 12 most intense peaks (10 to 80 degrees two-theta), in order of falling intensity:
d = 2.879 Å, I = 100
d = 6.217 Å, I = 98
d = 2.613 Å, I = 88
d = 3.109 Å, I = 86
d = 2.112 Å, I = 85
d = 1.703 Å, I = 59
d = 2.036 Å, I = 52
d = 1.306 Å, I = 24
d = 1.682 Å, I = 24
d = 1.368 Å, I = 23
d = 1.935 Å, I = 22
d = 1.235 Å, I = 20

=====

[11]
# ZnOs2F
Computed X-ray powder pattern, copper Kα. Input: a cell relaxed with PBE.

Structure:
abc: 6.0030 6.0030 6.0030
angles: 90.00 90.00 90.00
Sites, in units of the cell vectors:
Zn (0.0000, 0.0000, 0.0000)
Zn (0.0000, 0.5000, 0.5000)
Zn (0.5000, 0.0000, 0.5000)
Zn (0.5000, 0.5000, 0.0000)
Os (0.2500, 0.2500, 0.2500)
Os (0.2500, 0.2500, 0.7500)
Os (0.2500, 0.7500, 0.2500)
Os (0.2500, 0.7500, 0.7500)
Os (0.7500, 0.2500, 0.2500)
Os (0.7500, 0.2500, 0.7500)
Os (0.7500, 0.7500, 0.2500)
Os (0.7500, 0.7500, 0.7500)
F (0.0000, 0.0000, 0.5000)
F (0.0000, 0.5000, 0.0000)
F (0.5000, 0.0000, 0.0000)
F (0.5000, 0.5000, 0.5000)

The 9 most intense peaks (10 to 80 degrees two-theta), in order of falling intensity:
d = 2.122 Å, I = 100
d = 3.002 Å, I = 48
d = 1.225 Å, I = 33
d = 1.342 Å, I = 18
d = 1.501 Å, I = 16
d = 1.733 Å, I = 14
d = 3.466 Å, I = 3
d = 1.810 Å, I = 2
d = 1.377 Å, I = 1

=====

[12]
# PaPF
Computed X-ray powder pattern, copper Kα. Input: a cell relaxed with PBE.

Structure:
abc: 4.0286 4.0286 3.7781
angles: 90.00 90.00 120.00
Sites, in units of the cell vectors:
Pa (0.0000, 0.0000, 0.0000)
P (0.3333, 0.6667, 0.5000)
F (0.6667, 0.3333, 0.0000)

The 12 most intense peaks (10 to 80 degrees two-theta), in order of falling intensity:
d = 2.563 Å, I = 100
d = 3.489 Å, I = 80
d = 3.778 Å, I = 37
d = 2.014 Å, I = 34
d = 1.777 Å, I = 29
d = 1.584 Å, I = 24
d = 1.245 Å, I = 22
d = 1.661 Å, I = 21
d = 1.378 Å, I = 20
d = 1.744 Å, I = 12
d = 1.319 Å, I = 10
d = 1.889 Å, I = 9

=====

[13]
# Pr6P5F
Computed X-ray powder pattern, copper Kα. Input: a cell relaxed with PBE.

Structure:
abc: 7.1933 7.1933 7.1946
angles: 99.66 99.66 119.93
Sites, in units of the cell vectors:
Pr (0.0775, 0.4163, 0.7483)
Pr (0.2448, 0.2448, 0.2559)
Pr (0.4163, 0.0775, 0.7483)
Pr (0.5837, 0.9225, 0.2517)
Pr (0.7552, 0.7552, 0.7441)
Pr (0.9225, 0.5837, 0.2517)
P (0.0000, 0.0000, 0.5000)
P (0.1667, 0.8333, 0.0000)
P (0.3325, 0.6675, 0.5000)
P (0.6675, 0.3325, 0.5000)
P (0.8333, 0.1667, 0.0000)
F (0.5000, 0.5000, 0.0000)

The 12 most intense peaks (10 to 80 degrees two-theta), in order of falling intensity:
d = 2.937 Å, I = 100
d = 3.391 Å, I = 82
d = 2.077 Å, I = 73
d = 1.771 Å, I = 34
d = 1.696 Å, I = 25
d = 1.313 Å, I = 16
d = 1.314 Å, I = 16
d = 1.348 Å, I = 8
d = 1.347 Å, I = 8
d = 1.467 Å, I = 8
d = 1.769 Å, I = 7
d = 1.200 Å, I = 6